1.
LaPIN2: theoretical powder XRD pattern (Cu Kα (λ = 1.5418 Å)), based on a crystal structure in Alexandria, relaxed with PBE.

Main lines, in order of falling intensity (2θ from 10° to 80°):
h k l	2θ (°)	Rel. int.
1 1 1	34.9	100
0 0 1	17.6	80
1 1 0	29.9	80
1 1 2	47.3	45
2 0 0	42.8	42
0 0 2	35.7	36
2 0 2	56.9	35
2 0 1	46.6	29
3 1 1	73.3	22
1 1 3	63.7	16

```
LaPIN2
1.0
4.228 0.000 0.000
0.000 4.228 0.000
0.000 0.000 5.025
La P I N
1 1 1 2
Direct
0.000 0.000 0.000
0.500 0.500 0.500
0.500 0.500 0.000
0.000 0.500 0.500
0.500 0.000 0.500
```

2.
Pm2Pa3N8: theoretical powder XRD pattern (Cu Kα (λ = 1.5418 Å)), based on a crystal structure in Alexandria, relaxed with PBE.

Main lines, in order of falling intensity (2θ from 10° to 80°):
h k l	2θ (°)	Rel. int.
1 1 -1	29.8	100
1 0 1	16.2	53
2 0 2	32.8	50
2 0 -1	28.1	50
1 0 0	13.1	42
1 1 2	34.3	41
0 1 2	31.6	39
1 0 -3	32.0	35
3 1 1	48.6	34
2 1 -4	54.6	34

```
Pm2Pa3N8
1.0
6.780 0.000 0.000
0.000 3.591 0.000
-0.001 0.000 9.202
Pm Pa N
2 3 8
Direct
0.199 0.000 0.359
0.801 0.000 0.641
0.000 0.000 0.000
0.258 0.500 0.725
0.742 0.500 0.275
0.053 0.500 0.173
0.149 0.000 0.603
0.275 0.000 0.876
0.437 0.500 0.445
0.563 0.500 0.555
0.725 0.000 0.124
0.851 0.000 0.397
0.947 0.500 0.827
```